Structure and theoretical powder XRD pattern of NaAgO (a PBE-relaxed structure; Cu Kα, 1.54184 Å).
Kinematic intensities with the Lorentz-polarization factor, no thermal factor.

Main lines, sorted by position (10° ≤ 2θ ≤ 80°):
| hkl | 2θ/deg | intensity |
| --- | --- | --- |
| 1 0 1 | 21.08 | 926 |
| 3 1 0 | 29.31 | 271 |
| 3 0 1 | 33.84 | 1000 |
| 0 0 2 | 38.42 | 291 |
| 3 3 0 | 39.69 | 486 |
| 4 3 1 | 51.26 | 277 |
| 3 3 2 | 56.43 | 319 |
| 6 3 1 | 68.31 | 221 |

Structure:
```
data_NaAgO
_chemical_formula_sum 'Na8 Ag8 O8'
_space_group_name_H-M_alt 'I -4 m 2'
_space_group_IT_number 119
_space_group_name_Hall 'I -4 -2'
_cell_length_a 9.634
_cell_length_b 9.634
_cell_length_c 4.686
_cell_angle_alpha 90.00
_cell_angle_beta 90.00
_cell_angle_gamma 90.00
loop_
_atom_site_label
_atom_site_type_symbol
_atom_site_fract_x
_atom_site_fract_y
_atom_site_fract_z
Na1 Na 0.000 0.160 0.253
Ag1 Ag 0.156 0.344 0.750
O1 O 0.000 0.191 0.754
```